Starting from a DFT-relaxed cell (PBE+U, Alexandria), the powder diffraction line list of Ac2CoHgO5 was calculated for a wavelength of 1.5418 Å.
Neutral-atom scattering factors, no anomalous dispersion.

Largest 12 diffraction maxima, in order of rising 2θ, 2θ = 15–90°:
hkl 1 1 1, d 3.786, I 23; hkl 2 1 0, d 3.287, I 28; hkl 2 0 1, d 3.060, I 100; hkl 2 1 1, d 2.825, I 55; hkl 0 0 2, d 2.763, I 29; hkl 2 2 0, d 2.599, I 25; hkl 3 1 0, d 2.325, I 23; hkl 2 1 2, d 2.115, I 31; hkl 2 2 2, d 1.893, I 19; hkl 4 1 1, d 1.697, I 21; hkl 3 3 1, d 1.653, I 18; hkl 2 0 3, d 1.647, I 17

Atomic structure:
Lattice parameters (Å, degrees): 7.3509 7.3509 5.5257 90.00 90.00 90.00
Atoms (fractional coordinates):
Ac (0.1807, 0.3193, 0.0000)
Ac (0.3193, 0.8193, 0.0000)
Ac (0.6807, 0.1807, 0.0000)
Ac (0.8193, 0.6807, 0.0000)
Co (0.0000, 0.5000, 0.5000)
Co (0.5000, 0.0000, 0.5000)
Hg (0.0000, 0.0000, 0.5000)
Hg (0.5000, 0.5000, 0.5000)
O (0.0000, 0.0000, 0.0000)
O (0.1227, 0.6227, 0.2595)
O (0.1227, 0.6227, 0.7405)
O (0.3773, 0.1227, 0.2595)
O (0.3773, 0.1227, 0.7405)
O (0.5000, 0.5000, 0.0000)
O (0.6227, 0.8773, 0.2595)
O (0.6227, 0.8773, 0.7405)
O (0.8773, 0.3773, 0.2595)
O (0.8773, 0.3773, 0.7405)